Entry 1:
NaNi2O3: calculated PXRD pattern (Cu Kα (λ = 1.5418 Å)), based on the GGA+U geometry in the Materials Project.
Intensities are scaled so that the largest is 100.

Largest 10 diffraction maxima, sorted by position, 10 to 90 degrees two-theta:
| 2θ (°) | I/Imax | (hkl) |
| --- | --- | --- |
| 17.7 | 32 | 0 0 1 |
| 35.8 | 25 | 0 0 2 |
| 36.4 | 69 | 2 0 0 |
| 41.6 | 54 | 2 0 -2 |
| 42.3 | 100 | 1 3 1 |
| 60.5 | 29 | 1 3 -3 |
| 61.0 | 14 | 2 0 2 |
| 61.2 | 29 | 3 3 -1 |
| 61.8 | 14 | 0 6 0 |
| 73.5 | 13 | 3 3 1 |

```
NaNi2O3
1.0
5.266 0.000 0.000
0.000 9.006 0.000
-1.832 0.000 5.014
Na Ni O
4 8 12
Cartesian
0.000 1.528 0.000
0.000 7.478 0.000
2.633 2.973 0.000
2.633 6.033 0.000
-0.916 0.000 2.507
-0.916 3.020 2.507
0.000 4.503 0.000
-0.916 5.986 2.507
2.633 0.000 0.000
1.717 1.473 2.507
1.717 4.503 2.507
1.717 7.533 2.507
-0.242 4.503 3.726
-0.037 1.361 3.554
-0.037 7.645 3.554
0.869 3.140 1.455
0.869 5.866 1.455
1.003 0.000 1.334
2.431 0.000 3.680
2.565 3.140 3.559
2.565 5.866 3.559
3.471 1.361 1.460
3.471 7.645 1.460
3.676 4.503 1.287
```


Entry 2:
Na14Ni2O9: calculated PXRD pattern (Cu Kα (λ = 1.5418 Å)), based on the GGA+U geometry in the Materials Project.
Intensities are scaled so that the largest is 100.

Largest 10 diffraction maxima, sorted by position, 10 to 90 degrees two-theta:
| 2θ (°) | I/Imax | (hkl) |
| --- | --- | --- |
| 18.1 | 70 | 1 0 -2 |
| 28.5 | 20 | 0 0 6 |
| 32.5 | 12 | 2 0 2 |
| 32.6 | 34 | 2 2 -2 |
| 33.0 | 58 | 1 2 4 |
| 42.6 | 17 | -1 2 2 |
| 42.7 | 18 | 3 1 2 |
| 47.2 | 19 | 0 3 0 |
| 47.4 | 100 | 2 1 8 |
| 88.4 | 9 | 1 2 16 |

```
Na14Ni2O9
1.0
6.634 0.000 0.000
3.312 5.771 0.000
0.010 0.015 18.755
Na Ni O
28 4 18
Cartesian
6.637 0.006 2.346
0.008 0.013 11.734
9.948 5.774 7.021
3.319 5.780 16.409
1.315 1.878 8.511
1.319 1.884 17.896
2.500 3.605 5.554
2.516 3.603 14.937
2.285 0.383 14.938
2.283 0.374 5.551
4.275 3.697 8.510
4.293 3.704 17.889
5.591 5.569 10.240
5.593 5.564 0.857
4.795 3.981 13.192
4.792 3.971 3.806
5.164 1.815 14.949
5.162 1.805 5.563
4.363 0.223 17.898
4.365 0.217 8.515
5.663 2.082 0.867
5.681 2.089 10.245
7.674 5.412 13.204
7.671 5.403 3.818
7.440 2.183 3.819
7.456 2.181 13.201
8.637 3.902 0.859
8.641 3.908 10.244
3.306 1.923 2.472
3.323 1.930 11.822
6.633 3.856 6.933
6.651 3.864 16.284
0.000 0.000 0.000
0.005 0.007 9.378
2.500 3.704 3.156
2.511 3.675 12.543
2.224 0.354 12.533
2.231 0.316 3.141
3.316 1.933 9.756
3.313 1.923 0.426
4.725 4.033 15.600
4.725 4.022 6.209
5.232 1.764 12.546
5.231 1.753 3.155
6.643 3.864 18.329
6.641 3.853 8.999
7.725 5.471 15.614
7.732 5.432 6.222
7.445 2.111 6.212
7.456 2.083 15.599
```